# 1
Structure and theoretical powder diffractogram of BeMoOs (a structure optimized by DFT (PBE); Cu Kα).

Top 8 peaks for 2θ from 15° to 90°, by intensity:
- 2θ 40.55, intensity 100
- 2θ 40.44, intensity 99
- 2θ 38.91, intensity 45
- 2θ 71.54, intensity 37
- 2θ 22.13, intensity 31
- 2θ 50.95, intensity 25
- 2θ 31.40, intensity 22
- 2θ 24.84, intensity 22

Cell lengths 4.637, 4.637, 4.637 Å; angles 120.11, 104.68, 104.17 degrees
Element x y z (fractional)
Be 0.000 0.000 0.000
Be 0.000 0.500 0.500
Mo 0.186 0.093 0.593
Mo 0.500 0.593 0.407
Os 0.504 0.919 0.085
Os 0.834 0.419 0.915

=====

# 2
Structure and theoretical powder diffractogram of Ni2H5Pd5 (a structure optimized by DFT (PBE); Cu Kα).

Top 8 peaks for 2θ from 15° to 90°, by intensity:
- 2θ 39.08, intensity 100
- 2θ 38.90, intensity 80
- 2θ 42.68, intensity 72
- 2θ 38.64, intensity 50
- 2θ 38.26, intensity 48
- 2θ 43.34, intensity 38
- 2θ 46.52, intensity 26
- 2θ 40.07, intensity 25

Cell lengths 2.810, 4.837, 8.898 Å; angles 98.87, 90.30, 105.82 degrees
Element x y z (fractional)
Ni 0.056 0.123 0.309
Ni 0.944 0.877 0.691
H 0.000 0.000 0.500
H 0.103 0.864 0.171
H 0.350 0.659 0.679
H 0.650 0.341 0.321
H 0.897 0.136 0.829
Pd 0.000 0.000 0.000
Pd 0.263 0.503 0.856
Pd 0.351 0.706 0.424
Pd 0.649 0.294 0.576
Pd 0.737 0.497 0.144